Computed X-ray powder pattern
Compound: CdSiO3
Radiation: Cu Kα X-rays
Structure: a crystal structure in the Materials Project, relaxed with GGA-PBE
Kinematic intensities with the Lorentz-polarization factor, no thermal factor.

Peak list (8 most intense, 2θ from 10° to 80°, sorted by position)
two_theta, intensity
17.85, 47
26.88, 22
27.72, 17
28.79, 22
29.96, 100
36.13, 34
39.05, 20
41.31, 32

Structure:
```
CdSiO3
1.0
7.087 0.000 0.000
0.000 7.362 0.000
-1.347 0.000 15.262
Cd Si O
12 12 36
Direct
0.011 0.124 0.248 Cd
0.011 0.376 0.748 Cd
0.249 0.627 0.599 Cd
0.249 0.873 0.099 Cd
0.253 0.121 0.602 Cd
0.253 0.379 0.102 Cd
0.747 0.621 0.898 Cd
0.747 0.879 0.398 Cd
0.751 0.127 0.901 Cd
0.751 0.373 0.401 Cd
0.989 0.624 0.252 Cd
0.989 0.876 0.752 Cd
0.239 0.162 0.910 Si
0.239 0.338 0.410 Si
0.240 0.589 0.910 Si
0.240 0.911 0.410 Si
0.452 0.623 0.302 Si
0.452 0.877 0.802 Si
0.548 0.123 0.198 Si
0.548 0.377 0.698 Si
0.760 0.089 0.590 Si
0.760 0.411 0.090 Si
0.761 0.662 0.590 Si
0.761 0.838 0.090 Si
0.042 0.629 0.849 O
0.042 0.871 0.349 O
0.043 0.125 0.846 O
0.043 0.375 0.346 O
0.226 0.121 0.012 O
0.226 0.379 0.512 O
0.233 0.628 0.014 O
0.233 0.872 0.514 O
0.298 0.124 0.400 O
0.298 0.376 0.900 O
0.305 0.624 0.215 O
0.305 0.876 0.715 O
0.319 0.125 0.203 O
0.319 0.375 0.703 O
0.414 0.055 0.866 O
0.414 0.445 0.366 O
0.414 0.698 0.867 O
0.414 0.802 0.367 O
0.586 0.198 0.633 O
0.586 0.302 0.133 O
0.586 0.555 0.634 O
0.586 0.945 0.134 O
0.681 0.625 0.297 O
0.681 0.875 0.797 O
0.695 0.124 0.285 O
0.695 0.376 0.785 O
0.702 0.624 0.100 O
0.702 0.876 0.600 O
0.767 0.128 0.486 O
0.767 0.372 0.986 O
0.774 0.621 0.488 O
0.774 0.879 0.988 O
0.957 0.625 0.654 O
0.957 0.875 0.154 O
0.958 0.129 0.651 O
0.958 0.371 0.151 O
```


Computed X-ray powder pattern
Compound: Cu2W3Se6
Radiation: Cu Kα X-rays
Structure: a crystal structure in the Materials Project, relaxed with GGA-PBE
Kinematic intensities with the Lorentz-polarization factor, no thermal factor.

Peak list (8 most intense, 2θ from 10° to 80°, sorted by position)
two_theta, intensity
12.50, 100
29.31, 17
30.54, 42
35.05, 31
36.10, 58
43.63, 36
44.51, 70
52.75, 27

Structure:
```
Cu2W3Se6
1.0
1.669 -9.141 0.000
1.669 9.141 0.000
0.000 0.000 14.164
Cu W Se
4 6 12
Direct
0.060 0.940 0.500 Cu
0.287 0.713 0.572 Cu
0.713 0.287 0.072 Cu
0.940 0.060 0.000 Cu
0.043 0.957 0.293 W
0.266 0.734 0.787 W
0.387 0.613 0.290 W
0.613 0.387 0.790 W
0.734 0.266 0.287 W
0.957 0.043 0.793 W
0.056 0.944 0.669 Se
0.063 0.937 0.913 Se
0.281 0.719 0.407 Se
0.283 0.717 0.164 Se
0.383 0.617 0.898 Se
0.388 0.612 0.682 Se
0.612 0.388 0.182 Se
0.617 0.383 0.398 Se
0.717 0.283 0.664 Se
0.719 0.281 0.907 Se
0.937 0.063 0.413 Se
0.944 0.056 0.169 Se
```


Computed X-ray powder pattern
Compound: TaTiCN
Radiation: Cu Kα X-rays
Structure: a crystal structure in the Materials Project, relaxed with GGA-PBE
Kinematic intensities with the Lorentz-polarization factor, no thermal factor.

Peak list (8 most intense, 2θ from 10° to 80°, sorted by position)
two_theta, intensity
17.44, 77
33.98, 48
35.30, 33
35.52, 100
41.18, 100
59.51, 32
59.80, 32
71.39, 27

Structure:
```
TaTiCN
1.0
3.093 0.000 0.000
-1.547 2.679 0.000
0.000 0.000 15.254
Ta Ti C N
3 3 3 3
Direct
0.000 0.000 0.000 Ta
0.333 0.667 0.667 Ta
0.667 0.333 0.333 Ta
0.000 0.000 0.493 Ti
0.333 0.667 0.159 Ti
0.667 0.333 0.826 Ti
0.000 0.000 0.749 C
0.333 0.667 0.416 C
0.667 0.333 0.082 C
0.000 0.000 0.246 N
0.333 0.667 0.913 N
0.667 0.333 0.580 N
```


Computed X-ray powder pattern
Compound: As2O9
Radiation: Cu Kα X-rays
Structure: a crystal structure in the Materials Project, relaxed with GGA-PBE
Kinematic intensities with the Lorentz-polarization factor, no thermal factor.

Peak list (8 most intense, 2θ from 10° to 80°, sorted by position)
two_theta, intensity
13.00, 75
16.86, 42
18.49, 48
20.92, 42
22.23, 61
23.88, 100
24.93, 70
25.53, 84

Structure:
```
As2O9
1.0
7.395 0.000 0.000
0.000 13.958 0.000
-3.385 0.000 7.999
As O
8 36
Direct
0.072 0.127 0.057 As
0.072 0.373 0.557 As
0.258 0.621 0.053 As
0.258 0.879 0.553 As
0.742 0.121 0.447 As
0.742 0.379 0.947 As
0.928 0.627 0.443 As
0.928 0.873 0.943 As
0.008 0.669 0.885 O
0.008 0.831 0.385 O
0.011 0.128 0.276 O
0.011 0.372 0.776 O
0.106 0.227 0.563 O
0.106 0.273 0.063 O
0.138 0.596 0.593 O
0.138 0.904 0.093 O
0.178 0.637 0.257 O
0.178 0.863 0.757 O
0.252 0.505 0.020 O
0.252 0.995 0.520 O
0.421 0.103 0.011 O
0.421 0.397 0.511 O
0.424 0.108 0.871 O
0.424 0.392 0.371 O
0.436 0.701 0.100 O
0.436 0.799 0.600 O
0.564 0.201 0.400 O
0.564 0.299 0.900 O
0.576 0.608 0.629 O
0.576 0.892 0.129 O
0.579 0.603 0.489 O
0.579 0.897 0.989 O
0.748 0.005 0.480 O
0.748 0.495 0.980 O
0.822 0.137 0.243 O
0.822 0.363 0.743 O
0.862 0.096 0.907 O
0.862 0.404 0.407 O
0.894 0.727 0.937 O
0.894 0.773 0.437 O
0.989 0.628 0.224 O
0.989 0.872 0.724 O
0.992 0.169 0.615 O
0.992 0.331 0.115 O
```


Computed X-ray powder pattern
Compound: Co2P
Radiation: Cu Kα X-rays
Structure: a crystal structure in the Materials Project, relaxed with GGA-PBE
Kinematic intensities with the Lorentz-polarization factor, no thermal factor.

Peak list (8 most intense, 2θ from 10° to 80°, sorted by position)
two_theta, intensity
40.97, 100
41.63, 52
43.94, 73
44.38, 33
48.91, 30
51.58, 23
51.81, 17
52.12, 43

Structure:
```
Co2P
1.0
5.519 0.000 0.000
0.000 3.510 0.000
0.000 0.000 6.591
Co P
8 4
Direct
0.032 0.250 0.168 Co
0.144 0.250 0.565 Co
0.356 0.750 0.065 Co
0.468 0.750 0.668 Co
0.532 0.250 0.332 Co
0.644 0.250 0.935 Co
0.856 0.750 0.435 Co
0.968 0.750 0.832 Co
0.249 0.750 0.379 P
0.251 0.250 0.879 P
0.749 0.750 0.121 P
0.751 0.250 0.621 P
```


Computed X-ray powder pattern
Compound: CsRuF6
Radiation: Cu Kα X-rays
Structure: a crystal structure in the Materials Project, relaxed with GGA-PBE
Kinematic intensities with the Lorentz-polarization factor, no thermal factor.

Peak list (8 most intense, 2θ from 10° to 80°, sorted by position)
two_theta, intensity
21.78, 100
25.08, 70
33.46, 18
38.20, 13
40.28, 59
44.40, 14
56.53, 20
59.98, 12

Structure:
```
CsRuF6
1.0
4.080 2.356 2.738
-4.080 2.356 2.738
0.000 -4.712 2.738
Cs Ru F
1 1 6
Direct
0.000 0.000 0.000 Cs
0.500 0.500 0.500 Ru
0.255 0.255 0.582 F
0.255 0.582 0.255 F
0.418 0.745 0.745 F
0.582 0.255 0.255 F
0.745 0.418 0.745 F
0.745 0.745 0.418 F
```